# 1
Diffraction record for Ti4AlIr5. The X-ray diffraction stick pattern is calculated, not measured: it uses a cell relaxed with PBE and Cu Kα, 1.54184 Å.
Peak positions follow from Bragg's law for the DFT cell and can differ from measured ones.

```
data_Ti4AlIr5
_space_group_name_H-M_alt 'P 4/m m m'
_space_group_IT_number 123
_space_group_name_Hall '-P 4 2'
_cell_length_a 3.1858
_cell_length_b 3.1858
_cell_length_c 14.7157
_cell_angle_alpha 90.00
_cell_angle_beta 90.00
_cell_angle_gamma 90.00
loop_
_atom_site_label
_atom_site_type_symbol
_atom_site_fract_x
_atom_site_fract_y
_atom_site_fract_z
Ti1 Ti 0.0000 0.0000 0.1001
Ti2 Ti 0.0000 0.0000 0.3028
Al1 Al 0.0000 0.0000 0.5000
Ir1 Ir 0.5000 0.5000 0.0000
Ir2 Ir 0.5000 0.5000 0.2006
Ir3 Ir 0.5000 0.5000 0.4018
```

Largest 6 diffraction maxima, low angle first, 10° ≤ 2θ ≤ 90°:
| 2θ (°) | I/Imax | hkl |
| --- | --- | --- |
| 28.01 | 564 | 1 0 0 |
| 30.37 | 230 | 0 0 5 |
| 40.02 | 566 | 1 1 0 |
| 41.78 | 1000 | 1 0 5 |
| 51.06 | 231 | 1 1 5 |
| 73.91 | 368 | 2 1 5 |

***

# 2
Diffraction record for Zr2Ti5AlIr2. The X-ray diffraction stick pattern is calculated, not measured: it uses a cell relaxed with PBE and Cu Kα, 1.54184 Å.
Peak positions follow from Bragg's law for the DFT cell and can differ from measured ones.

```
data_Zr2Ti5AlIr2
_space_group_name_H-M_alt 'P 4/m b m'
_space_group_IT_number 127
_space_group_name_Hall '-P 4 2ab'
_cell_length_a 10.6091
_cell_length_b 10.6091
_cell_length_c 3.2551
_cell_angle_alpha 90.00
_cell_angle_beta 90.00
_cell_angle_gamma 90.00
loop_
_atom_site_label
_atom_site_type_symbol
_atom_site_fract_x
_atom_site_fract_y
_atom_site_fract_z
Zr1 Zr 0.1765 0.3235 0.0000
Ti1 Ti 0.0000 0.5000 0.5000
Ti2 Ti 0.0544 0.7988 0.5000
Al1 Al 0.0000 0.0000 0.0000
Ir1 Ir 0.1310 0.6310 0.0000
```

Largest 6 diffraction maxima, low angle first, 10° ≤ 2θ ≤ 90°:
| 2θ (°) | I/Imax | hkl |
| --- | --- | --- |
| 11.80 | 766 | 1 1 0 |
| 18.70 | 583 | 2 1 0 |
| 35.91 | 464 | 3 3 0 |
| 38.54 | 1000 | 3 1 1 |
| 41.36 | 571 | 3 2 1 |
| 44.04 | 494 | 4 0 1 |